Tl7In12Pb: computed powder diffraction line list (Cu Kα (weighted mean of Kα1 and Kα2)), based on a PBE-relaxed structure.
Lines closer than 0.1° are merged.

Principal peaks in the range 2θ from 15° to 90°, sorted by position:
2θ (°)  d/Å  I (rel.)
26.96  3.307  37
31.05  2.880  61
31.29  2.859  69
32.46  2.758  40
32.63  2.745  100
33.64  2.664  89
34.00  2.637  44
34.98  2.565  37

Structure:
a = 6.9110 Å, b = 10.0075 Å, c = 10.3599 Å
α = 114.93°, β = 103.30°, γ = 99.86°
Fractional coordinates of all 20 atoms:
Tl 0.0000 0.0000 0.0000
Tl 0.2597 0.5192 0.8067
Tl 0.3026 0.1993 0.8463
Tl 0.4185 0.1768 0.5294
Tl 0.5815 0.8232 0.4706
Tl 0.6974 0.8007 0.1537
Tl 0.7403 0.4808 0.1933
In 0.0765 0.7975 0.6974
In 0.0853 0.8511 0.4305
In 0.2027 0.5445 0.4472
In 0.2067 0.4808 0.1168
In 0.2135 0.8114 0.1465
In 0.3966 0.2812 0.2671
In 0.6034 0.7188 0.7329
In 0.7865 0.1886 0.8535
In 0.7933 0.5192 0.8832
In 0.7973 0.4555 0.5528
In 0.9147 0.1489 0.5695
In 0.9235 0.2025 0.3026
Pb 0.5000 0.0000 0.0000

Ce7Th5: computed powder diffraction line list (Cu Kα (weighted mean of Kα1 and Kα2)), based on a PBE-relaxed structure.
Lines closer than 0.1° are merged.

Principal peaks in the range 2θ from 15° to 90°, sorted by position:
2θ (°)  d/Å  I (rel.)
31.76  2.817  100
36.79  2.443  34
36.94  2.433  17
53.11  1.724  30
63.09  1.474  14
63.17  1.472  14
63.34  1.468  14
87.11  1.119  12

Structure:
a = 10.9164 Å, b = 10.9164 Å, c = 4.8666 Å
α = 90.00°, β = 90.00°, γ = 143.05°
Fractional coordinates of all 12 atoms:
Ce 0.0000 0.0000 0.0000
Ce 0.1642 0.8358 0.0000
Ce 0.1661 0.3299 0.5000
Ce 0.3299 0.1661 0.5000
Ce 0.6701 0.8339 0.5000
Ce 0.8339 0.6701 0.5000
Ce 0.8358 0.1642 0.0000
Th 0.0000 0.5000 0.5000
Th 0.3342 0.6658 0.0000
Th 0.5000 0.0000 0.5000
Th 0.5000 0.5000 0.0000
Th 0.6658 0.3342 0.0000

Tb3TeAs2: computed powder diffraction line list (Cu Kα (weighted mean of Kα1 and Kα2)), based on a PBE-relaxed structure.
Lines closer than 0.1° are merged.

Principal peaks in the range 2θ from 15° to 90°, sorted by position:
2θ (°)  d/Å  I (rel.)
15.60  5.679  18
25.68  3.469  15
31.58  2.833  35
35.31  2.542  100
41.15  2.194  14
52.77  1.735  13
58.69  1.573  10
59.26  1.559  11

Structure:
a = 8.0823 Å, b = 8.0823 Å, c = 8.0823 Å
α = 124.94°, β = 90.93°, γ = 114.26°
Fractional coordinates of all 12 atoms:
Tb 0.0000 0.2287 0.2287
Tb 0.0000 0.7713 0.7713
Tb 0.5000 0.0000 0.0000
Tb 0.5000 0.2287 0.7287
Tb 0.5000 0.5000 0.5000
Tb 0.5000 0.7713 0.2713
Te 0.1902 0.9402 0.2500
Te 0.8098 0.0598 0.7500
As 0.2669 0.7138 0.5531
As 0.3393 0.2862 0.0531
As 0.6607 0.7138 0.9469
As 0.7331 0.2862 0.4469